The following is a computed PXRD pattern of ErTm6Sc3. It was derived from a cell relaxed with PBE, using λ = 1.5418 Å (Cu Kα).

Atomic structure:
a = 10.4081 Å, b = 18.3105 Å, c = 6.0429 Å
α = 90.00°, β = 90.00°, γ = 90.00°
Space group Cmc2_1 (No. 36)
Symmetry-distinct sites (fractional):
Er: 0.0000 0.2091 0.0000 [4 per cell]
Tm: 0.0000 0.0477 0.7052 [4 per cell]
Tm: 0.0000 0.2981 0.4808 [4 per cell]
Tm: 0.1664 0.4591 0.3484 [8 per cell]
Tm: 0.2436 0.2060 0.6729 [8 per cell]
Sc: 0.0000 0.3874 0.9207 [4 per cell]
Sc: 0.1830 0.1107 0.2577 [8 per cell]

Principal peaks in the range 2θ from 10° to 90°, in order of falling intensity:
- hkl 2 4 1, 29.91°, rel. 100
- hkl 0 6 1, 32.88°, rel. 79
- hkl 2 2 2, 35.74°, rel. 71
- hkl 0 2 2, 31.19°, rel. 52
- hkl 0 2 1, 17.59°, rel. 39
- hkl 3 3 1, 33.20°, rel. 39
- hkl 2 6 1, 37.26°, rel. 30
- hkl 3 3 0, 29.61°, rel. 28
- hkl 0 4 0, 19.39°, rel. 27
- hkl 2 10 2, 61.86°, rel. 26

The following is a computed PXRD pattern of CsNd2CuS4. It was derived from a cell relaxed with PBE, using λ = 1.5418 Å (Cu Kα).

Atomic structure:
a = 4.1230 Å, b = 14.4621 Å, c = 14.1585 Å
α = 90.00°, β = 90.00°, γ = 90.00°
Space group Cmcm (No. 63)
Symmetry-distinct sites (fractional):
Cs: 0.0000 0.1042 0.2500 [4 per cell]
Nd: 0.0000 0.3657 0.0604 [8 per cell]
Cu: 0.0000 0.1672 0.7500 [4 per cell]
S: 0.0000 0.0000 0.0000 [4 per cell]
S: 0.0000 0.2565 0.6098 [8 per cell]
S: 0.0000 0.4171 0.2500 [4 per cell]

Principal peaks in the range 2θ from 10° to 90°, in order of falling intensity:
- hkl 1 3 2, 31.22°, rel. 100
- hkl 0 2 3, 22.49°, rel. 92
- hkl 1 3 1, 29.19°, rel. 74
- hkl 1 1 2, 25.75°, rel. 69
- hkl 0 4 0, 24.62°, rel. 49
- hkl 1 5 3, 42.72°, rel. 46
- hkl 0 2 5, 33.98°, rel. 34
- hkl 2 0 0, 43.92°, rel. 34
- hkl 1 1 5, 39.09°, rel. 34
- hkl 1 3 5, 43.06°, rel. 32

The following is a computed PXRD pattern of Dy2ThCo. It was derived from a cell relaxed with PBE, using λ = 1.5418 Å (Cu Kα).

Atomic structure:
a = 6.9276 Å, b = 9.6334 Å, c = 6.2950 Å
α = 90.00°, β = 90.00°, γ = 90.00°
Space group Pnma (No. 62)
Symmetry-distinct sites (fractional):
Dy: 0.1698 0.0698 0.1747 [8 per cell]
Th: 0.0530 0.2500 0.6618 [4 per cell]
Co: 0.1302 0.7500 0.9692 [4 per cell]

Principal peaks in the range 2θ from 10° to 90°, in order of falling intensity:
- hkl 0 3 1, 31.25°, rel. 100
- hkl 2 2 1, 34.94°, rel. 43
- hkl 1 1 2, 32.60°, rel. 42
- hkl 2 1 1, 30.89°, rel. 34
- hkl 2 2 0, 31.82°, rel. 27
- hkl 1 3 1, 33.91°, rel. 25
- hkl 1 2 3, 49.15°, rel. 24
- hkl 2 1 0, 27.36°, rel. 18
- hkl 3 3 2, 57.19°, rel. 16
- hkl 1 3 3, 53.84°, rel. 15

The following is a computed PXRD pattern of Rb3Mn2Br7. It was derived from a cell relaxed with PBE, using λ = 1.5418 Å (Cu Kα).

Atomic structure:
a = 5.4572 Å, b = 27.9605 Å, c = 5.3369 Å
α = 90.00°, β = 90.00°, γ = 90.00°
Space group Cmmm (No. 65)
Symmetry-distinct sites (fractional):
Rb: 0.0000 0.0000 0.0000 [2 per cell]
Rb: 0.0000 0.1780 0.0000 [4 per cell]
Mn: 0.0000 0.4005 0.5000 [4 per cell]
Br: 0.0000 0.0943 0.5000 [4 per cell]
Br: 0.0000 0.3070 0.5000 [4 per cell]
Br: 0.0000 0.4051 0.0000 [4 per cell]
Br: 0.0000 0.5000 0.5000 [2 per cell]

Principal peaks in the range 2θ from 10° to 90°, in order of falling intensity:
- hkl 1 5 1, 28.32°, rel. 100
- hkl 2 0 0, 32.82°, rel. 33
- hkl 0 0 2, 33.58°, rel. 31
- hkl 0 10 0, 32.01°, rel. 24
- hkl 2 0 2, 47.67°, rel. 23
- hkl 2 10 2, 58.58°, rel. 17
- hkl 2 10 0, 46.50°, rel. 16
- hkl 0 10 2, 47.08°, rel. 16
- hkl 3 5 1, 55.87°, rel. 14
- hkl 1 5 3, 56.87°, rel. 14

The following is a computed PXRD pattern of Be2Cu2Mo. It was derived from a cell relaxed with PBE, using λ = 1.5418 Å (Cu Kα).

Atomic structure:
a = 6.6364 Å, b = 6.6364 Å, c = 2.5251 Å
α = 90.00°, β = 90.00°, γ = 90.00°
Space group P4/mbm (No. 127)
Symmetry-distinct sites (fractional):
Be: 0.1336 0.3664 0.0000 [4 per cell]
Cu: 0.1611 0.6611 0.5000 [4 per cell]
Mo: 0.0000 0.0000 0.0000 [2 per cell]

Principal peaks in the range 2θ from 10° to 90°, in order of falling intensity:
- hkl 3 1 0, 43.10°, rel. 100
- hkl 2 1 0, 30.11°, rel. 81
- hkl 2 0 1, 45.12°, rel. 69
- hkl 1 1 1, 40.57°, rel. 66
- hkl 2 1 1, 47.26°, rel. 63
- hkl 1 1 0, 18.91°, rel. 39
- hkl 2 2 0, 38.36°, rel. 35
- hkl 3 3 1, 70.87°, rel. 34
- hkl 4 0 1, 67.56°, rel. 23
- hkl 4 2 0, 62.60°, rel. 19

The following is a computed PXRD pattern of NaLi2GaAu. It was derived from a cell relaxed with PBE, using λ = 1.5418 Å (Cu Kα).

Atomic structure:
a = 5.0017 Å, b = 5.0017 Å, c = 4.8638 Å
α = 90.00°, β = 90.00°, γ = 90.00°
Space group P4/mmm (No. 123)
Symmetry-distinct sites (fractional):
Na: 0.0000 0.0000 0.0000 [1 per cell]
Li: 0.0000 0.5000 0.5000 [2 per cell]
Ga: 0.5000 0.5000 0.0000 [1 per cell]
Au: 0.5000 0.5000 0.5000 [1 per cell]

Principal peaks in the range 2θ from 10° to 90°, in order of falling intensity:
- hkl 1 0 0, 17.73°, rel. 100
- hkl 1 1 0, 25.18°, rel. 60
- hkl 1 0 1, 25.55°, rel. 31
- hkl 2 0 0, 35.91°, rel. 28
- hkl 2 1 0, 40.32°, rel. 26
- hkl 1 1 2, 45.25°, rel. 25
- hkl 1 0 2, 41.28°, rel. 25
- hkl 2 1 2, 55.84°, rel. 20
- hkl 2 0 2, 52.49°, rel. 19
- hkl 2 1 1, 44.59°, rel. 14

The following is a computed PXRD pattern of Rb2Ba2S. It was derived from a cell relaxed with PBE, using λ = 1.5418 Å (Cu Kα).

Atomic structure:
a = 8.5927 Å, b = 8.5927 Å, c = 8.6430 Å
α = 90.00°, β = 90.00°, γ = 90.00°
Space group P4/mbm (No. 127)
Symmetry-distinct sites (fractional):
Rb: 0.1738 0.3262 0.0000 [4 per cell]
Ba: 0.1965 0.6965 0.5000 [4 per cell]
S: 0.0000 0.0000 0.5000 [2 per cell]

Principal peaks in the range 2θ from 10° to 90°, in order of falling intensity:
- hkl 2 1 1, 25.36°, rel. 100
- hkl 0 0 2, 20.55°, rel. 59
- hkl 4 1 1, 44.73°, rel. 47
- hkl 2 0 2, 29.34°, rel. 46
- hkl 2 1 3, 39.10°, rel. 45
- hkl 2 0 0, 20.67°, rel. 38
- hkl 4 1 3, 54.31°, rel. 28
- hkl 0 0 1, 10.23°, rel. 20
- hkl 5 3 2, 67.12°, rel. 18
- hkl 2 2 2, 36.14°, rel. 16

The following is a computed PXRD pattern of ZrPd2Pt2. It was derived from a cell relaxed with PBE, using λ = 1.5418 Å (Cu Kα).

Atomic structure:
a = 6.8914 Å, b = 6.8914 Å, c = 3.7134 Å
α = 90.00°, β = 90.00°, γ = 90.00°
Space group P4/mbm (No. 127)
Symmetry-distinct sites (fractional):
Zr: 0.0000 0.0000 0.0000 [2 per cell]
Pd: 0.1611 0.3389 0.5000 [4 per cell]
Pt: 0.1366 0.6366 0.0000 [4 per cell]

Principal peaks in the range 2θ from 10° to 90°, in order of falling intensity:
- hkl 2 1 1, 37.94°, rel. 100
- hkl 3 1 0, 41.43°, rel. 33
- hkl 3 1 2, 66.11°, rel. 17
- hkl 5 2 1, 79.17°, rel. 16
- hkl 0 0 2, 49.06°, rel. 14
- hkl 0 0 1, 23.96°, rel. 13
- hkl 6 0 0, 84.32°, rel. 13
- hkl 1 1 0, 18.21°, rel. 13
- hkl 3 2 1, 53.95°, rel. 9
- hkl 3 1 1, 48.43°, rel. 9

The following is a computed PXRD pattern of ScZn2Sn2. It was derived from a cell relaxed with PBE, using λ = 1.5418 Å (Cu Kα).

Atomic structure:
a = 4.2528 Å, b = 22.2525 Å, c = 4.2568 Å
α = 90.00°, β = 90.00°, γ = 90.00°
Space group Cmcm (No. 63)
Symmetry-distinct sites (fractional):
Sc: 0.0000 0.1421 0.2500 [4 per cell]
Zn: 0.0000 0.0352 0.7500 [4 per cell]
Zn: 0.0000 0.4609 0.7500 [4 per cell]
Sn: 0.0000 0.2507 0.7500 [4 per cell]
Sn: 0.0000 0.3767 0.2500 [4 per cell]

Principal peaks in the range 2θ from 10° to 90°, in order of falling intensity:
- hkl 1 5 1, 36.03°, rel. 100
- hkl 2 0 0, 42.49°, rel. 41
- hkl 3 5 1, 73.54°, rel. 24
- hkl 1 3 1, 32.09°, rel. 22
- hkl 2 0 2, 61.66°, rel. 13
- hkl 0 8 0, 32.18°, rel. 13
- hkl 2 10 0, 60.18°, rel. 9
- hkl 1 13 1, 62.42°, rel. 9
- hkl 0 8 2, 54.25°, rel. 8
- hkl 0 10 0, 40.54°, rel. 8

The following is a computed PXRD pattern of Zr3BO2. It was derived from a cell relaxed with PBE, using λ = 1.5418 Å (Cu Kα).

Atomic structure:
a = 6.7415 Å, b = 4.6782 Å, c = 9.9999 Å
α = 90.00°, β = 90.00°, γ = 90.00°
Space group Pnma (No. 62)
Symmetry-distinct sites (fractional):
Zr: 0.1186 0.2500 0.0850 [4 per cell]
Zr: 0.1317 0.2500 0.7556 [4 per cell]
Zr: 0.1355 0.2500 0.4206 [4 per cell]
B: 0.1286 0.7500 0.0838 [4 per cell]
O: 0.1183 0.7500 0.4215 [4 per cell]
O: 0.1262 0.7500 0.7517 [4 per cell]

Principal peaks in the range 2θ from 10° to 90°, in order of falling intensity:
- hkl 2 0 3, 37.96°, rel. 100
- hkl 2 1 0, 32.75°, rel. 83
- hkl 0 1 3, 33.00°, rel. 82
- hkl 2 2 3, 55.16°, rel. 79
- hkl 0 2 0, 38.49°, rel. 49
- hkl 2 1 6, 65.60°, rel. 22
- hkl 4 1 3, 65.15°, rel. 22
- hkl 4 0 0, 54.44°, rel. 16
- hkl 4 2 0, 68.64°, rel. 15
- hkl 0 2 6, 69.22°, rel. 15

The following is a computed PXRD pattern of Na2LiCuP2O7. It was derived from a cell relaxed with PBE, using λ = 1.5418 Å (Cu Kα).

Atomic structure:
a = 14.0114 Å, b = 5.6622 Å, c = 9.2014 Å
α = 90.00°, β = 105.59°, γ = 90.00°
Space group C2 (No. 5)
Symmetry-distinct sites (fractional):
Na: 0.1827 0.0000 0.0083 [4 per cell]
Na: 0.1888 0.6270 0.4175 [4 per cell]
Li: 0.1782 0.6865 0.7310 [4 per cell]
Cu: 0.0147 0.9329 0.2012 [4 per cell]
P: 0.1048 0.1647 0.6139 [4 per cell]
P: 0.1120 0.5215 0.0621 [4 per cell]
O: 0.0000 0.2435 0.5000 [2 per cell]
O: 0.0000 0.4177 0.0000 [2 per cell]
O: 0.0849 0.1246 0.7700 [4 per cell]
O: 0.1097 0.7330 0.1693 [4 per cell]
O: 0.1445 0.9385 0.5596 [4 per cell]
O: 0.1484 0.6090 0.9290 [4 per cell]
O: 0.1720 0.3788 0.6172 [4 per cell]
O: 0.1749 0.3234 0.1510 [4 per cell]

Principal peaks in the range 2θ from 10° to 90°, in order of falling intensity:
- hkl 1 1 -1, 18.81°, rel. 100
- hkl 2 0 2, 26.88°, rel. 95
- hkl 5 1 -1, 35.76°, rel. 80
- hkl 1 1 -2, 24.97°, rel. 79
- hkl 1 1 -3, 33.24°, rel. 62
- hkl 1 1 2, 27.73°, rel. 55
- hkl 1 1 0, 16.98°, rel. 55
- hkl 3 1 0, 25.29°, rel. 55
- hkl 2 0 0, 13.12°, rel. 40
- hkl 3 1 -3, 35.31°, rel. 39

The following is a computed PXRD pattern of NaLiCuAg. It was derived from a cell relaxed with PBE, using λ = 1.5418 Å (Cu Kα).

Atomic structure:
a = 6.5311 Å, b = 6.5311 Å, c = 6.5311 Å
α = 90.00°, β = 90.00°, γ = 90.00°
Space group F-43m (No. 216)
Symmetry-distinct sites (fractional):
Na: 0.0000 0.0000 0.0000 [4 per cell]
Li: 0.2500 0.2500 0.2500 [4 per cell]
Cu: 0.2500 0.2500 0.7500 [4 per cell]
Ag: 0.0000 0.0000 0.5000 [4 per cell]

Principal peaks in the range 2θ from 10° to 90°, in order of falling intensity:
- hkl 2 2 0, 39.01°, rel. 100
- hkl 1 1 1, 23.59°, rel. 67
- hkl 3 1 1, 46.09°, rel. 32
- hkl 4 2 2, 70.66°, rel. 31
- hkl 4 0 0, 56.35°, rel. 16
- hkl 3 3 1, 61.93°, rel. 13
- hkl 2 0 0, 27.31°, rel. 12
- hkl 5 3 1, 88.59°, rel. 10
- hkl 4 4 0, 83.78°, rel. 10
- hkl 5 1 1, 75.66°, rel. 9

The following is a computed PXRD pattern of Cu5Pd2Au2. It was derived from a cell relaxed with PBE, using λ = 1.5418 Å (Cu Kα).

Atomic structure:
a = 2.8746 Å, b = 5.6025 Å, c = 8.4996 Å
α = 74.89°, β = 89.88°, γ = 75.15°
Space group P-1 (No. 2)
Symmetry-distinct sites (fractional):
Cu: 0.0000 0.0000 0.0000 [1 per cell]
Cu: 0.3311 0.3393 0.4547 [2 per cell]
Cu: 0.3331 0.3341 0.0944 [2 per cell]
Pd: 0.3214 0.3571 0.7799 [2 per cell]
Au: 0.0102 0.9796 0.6753 [2 per cell]

Principal peaks in the range 2θ from 10° to 90°, in order of falling intensity:
- hkl 1 2 0, 40.73°, rel. 100
- hkl 0 2 3, 40.93°, rel. 48
- hkl 0 1 -3, 41.26°, rel. 47
- hkl 1 1 3, 44.87°, rel. 38
- hkl 1 0 -3, 44.97°, rel. 37
- hkl 0 3 0, 52.65°, rel. 21
- hkl 1 4 3, 71.42°, rel. 16
- hkl 0 1 0, 17.00°, rel. 15
- hkl 2 3 3, 79.62°, rel. 13
- hkl 2 1 0, 64.87°, rel. 13